KHfNbInO6: computed X-ray diffraction stick pattern (Cu Kα), based on a PBE-relaxed structure.
Peak positions follow from Bragg's law for the DFT cell and can differ from measured ones.

Top 12 peaks for 5 to 70 degrees two-theta, in order of rising 2θ:
hkl  d_spacing  I_rel
1 1 1  4.727  16.0
2 0 0  4.094  17.1
2 2 0  2.895  100.0
3 1 1  2.469  10.3
4 0 0  2.047  32.0
3 3 1  1.878  4.9
4 2 0  1.831  7.3
4 2 2  1.671  39.3
3 3 3  1.576  3.5
4 4 0  1.447  19.3
5 3 1  1.384  3.5
6 0 0  1.365  3.4

Unit cell a=8.188 b=8.188 c=8.188 alpha=90.00 beta=90.00 gamma=90.00
Space group F-43m (No. 216)
Symmetry-distinct sites (fractional):
K  0.000  0.000  0.000 [4 per cell]
Hf  0.250  0.250  0.750 [4 per cell]
Nb  0.250  0.250  0.250 [4 per cell]
In  0.000  0.000  0.500 [4 per cell]
O  0.004  0.250  0.250 [24 per cell]

=====

KPrHfInO6: computed X-ray diffraction stick pattern (Cu Kα), based on a PBE-relaxed structure.
Peak positions follow from Bragg's law for the DFT cell and can differ from measured ones.

Top 12 peaks for 5 to 70 degrees two-theta, in order of rising 2θ:
hkl  d_spacing  I_rel
1 1 1  4.813  15.6
2 0 0  4.168  12.8
2 2 0  2.947  100.0
3 1 1  2.513  9.0
4 0 0  2.084  30.9
3 3 1  1.912  4.1
4 2 0  1.864  5.5
4 2 2  1.702  40.1
5 1 1  1.604  3.4
4 4 0  1.474  18.9
5 3 1  1.409  3.4
6 0 0  1.389  2.5

Unit cell a=8.336 b=8.336 c=8.336 alpha=90.00 beta=90.00 gamma=90.00
Space group F-43m (No. 216)
Symmetry-distinct sites (fractional):
K  0.000  0.000  0.000 [4 per cell]
Pr  0.000  0.000  0.500 [4 per cell]
Hf  0.250  0.250  0.250 [4 per cell]
In  0.250  0.250  0.750 [4 per cell]
O  0.004  0.250  0.250 [24 per cell]

=====

Na2HfInP3O12: computed X-ray diffraction stick pattern (Cu Kα), based on a PBE-relaxed structure.
Peak positions follow from Bragg's law for the DFT cell and can differ from measured ones.

Top 12 peaks for 5 to 70 degrees two-theta, in order of rising 2θ:
hkl  d_spacing  I_rel
2 0 0  6.450  46.0
1 1 1  4.624  100.0
3 1 -1  4.503  74.8
0 2 0  4.479  41.6
0 2 1  3.877  35.0
2 2 -2  3.219  36.1
3 1 -3  2.919  80.4
0 2 2  2.912  34.2
4 2 0  2.622  22.3
3 3 -1  2.590  36.2
6 2 -4  1.941  24.5
4 2 2  1.813  19.1

Unit cell a=15.626 b=8.958 c=9.266 alpha=90.00 beta=124.19 gamma=90.00
Space group Cc (No. 9)
Symmetry-distinct sites (fractional):
Na  0.000  0.111  0.000 [4 per cell]
Na  0.255  0.249  0.257 [4 per cell]
Hf  0.107  0.256  0.803 [4 per cell]
In  0.398  0.244  0.695 [4 per cell]
P  0.001  0.453  0.994 [4 per cell]
P  0.146  0.104  0.487 [4 per cell]
P  0.357  0.396  0.000 [4 per cell]
O  0.051  0.164  0.318 [4 per cell]
O  0.066  0.444  0.656 [4 per cell]
O  0.079  0.354  0.979 [4 per cell]
O  0.138  0.138  0.645 [4 per cell]
O  0.146  0.072  0.977 [4 per cell]
O  0.243  0.168  0.509 [4 per cell]
O  0.260  0.321  0.977 [4 per cell]
O  0.353  0.433  0.516 [4 per cell]
O  0.360  0.375  0.840 [4 per cell]
O  0.432  0.043  0.828 [4 per cell]
O  0.432  0.156  0.512 [4 per cell]
O  0.455  0.328  0.166 [4 per cell]